# Er2CdAgPd4
Theoretical powder X-ray diffraction pattern, λ = 1.5418 Å (Cu Kα). Input: a structure optimized by DFT (PBE).
No peak broadening, texture or thermal motion is included.

Main lines, in order of rising 2θ (2θ = 10–90°):
| 2theta | d [Å] | I_rel | index |
| --- | --- | --- | --- |
| 22.93 | 3.878 | 4 | 0 1 2 |
| 26.60 | 3.352 | 4 | 1 0 4 |
| 37.84 | 2.378 | 100 | 1 1 0 |
| 38.09 | 2.362 | 98 | 0 1 8 |
| 54.78 | 1.676 | 34 | 2 0 8 |
| 68.33 | 1.373 | 17 | 3 0 0 |
| 68.50 | 1.370 | 34 | 1 2 8 |
| 69.00 | 1.361 | 16 | 1 0 16 |
| 80.85 | 1.189 | 11 | 2 2 0 |
| 81.49 | 1.181 | 10 | 0 2 16 |

Structural model:
abc: 4.7553 4.7553 23.0724
angles: 90.00 90.00 120.00
Space group R-3m (No. 166, hexagonal axes)
Inequivalent atoms, fractional coordinates:
Er 0.0000 0.0000 0.2478 (multiplicity 6)
Cd 0.0000 0.0000 0.0000 (multiplicity 3)
Ag 0.0000 0.0000 0.5000 (multiplicity 3)
Pd 0.0000 0.0000 0.1238 (multiplicity 6)
Pd 0.0000 0.0000 0.3748 (multiplicity 6)



# Pm2ErCd2Ag2
Theoretical powder X-ray diffraction pattern, λ = 1.5418 Å (Cu Kα). Input: a structure optimized by DFT (PBE).
No peak broadening, texture or thermal motion is included.

Main lines, in order of rising 2θ (2θ = 10–90°):
| 2theta | d [Å] | I_rel | index |
| --- | --- | --- | --- |
| 10.09 | 8.770 | 16 | 0 0 3 |
| 21.27 | 4.177 | 14 | 1 0 1 |
| 31.85 | 2.810 | 47 | 1 0 7 |
| 34.55 | 2.596 | 80 | 0 1 8 |
| 36.80 | 2.442 | 100 | 1 1 0 |
| 51.36 | 1.779 | 25 | 2 0 8 |
| 64.84 | 1.438 | 25 | 1 2 8 |
| 65.52 | 1.425 | 23 | 1 1 15 |
| 66.29 | 1.410 | 17 | 3 0 0 |
| 88.50 | 1.105 | 15 | 3 1 8 |

Structural model:
abc: 4.8845 4.8845 26.3088
angles: 90.00 90.00 120.00
Space group R-3m (No. 166, hexagonal axes)
Inequivalent atoms, fractional coordinates:
Pm 0.0000 0.0000 0.1235 (multiplicity 6)
Er 0.0000 0.0000 0.0000 (multiplicity 3)
Cd 0.0000 0.0000 0.2674 (multiplicity 6)
Ag 0.0000 0.0000 0.3925 (multiplicity 6)



# ErPuCdAg
Theoretical powder X-ray diffraction pattern, λ = 1.5418 Å (Cu Kα). Input: a structure optimized by DFT (PBE).
No peak broadening, texture or thermal motion is included.

Main lines, in order of rising 2θ (2θ = 10–90°):
| 2theta | d [Å] | I_rel | index |
| --- | --- | --- | --- |
| 20.76 | 4.278 | 3 | 1 1 1 |
| 24.02 | 3.705 | 9 | 2 0 0 |
| 34.23 | 2.620 | 100 | 2 2 0 |
| 42.25 | 2.139 | 3 | 2 2 2 |
| 49.19 | 1.852 | 18 | 4 0 0 |
| 55.46 | 1.657 | 4 | 4 2 0 |
| 61.29 | 1.513 | 37 | 4 2 2 |
| 72.11 | 1.310 | 11 | 4 4 0 |
| 77.25 | 1.235 | 2 | 6 0 0 |
| 82.30 | 1.172 | 16 | 6 2 0 |

Structural model:
abc: 7.4097 7.4097 7.4097
angles: 90.00 90.00 90.00
Space group F-43m (No. 216)
Inequivalent atoms, fractional coordinates:
Er 0.0000 0.0000 0.0000 (multiplicity 4)
Pu 0.0000 0.0000 0.5000 (multiplicity 4)
Cd 0.2500 0.2500 0.7500 (multiplicity 4)
Ag 0.2500 0.2500 0.2500 (multiplicity 4)



# CdAg6F12
Theoretical powder X-ray diffraction pattern, λ = 1.5418 Å (Cu Kα). Input: a structure optimized by DFT (PBE).
No peak broadening, texture or thermal motion is included.

Main lines, in order of rising 2θ (2θ = 10–90°):
| 2theta | d [Å] | I_rel | index |
| --- | --- | --- | --- |
| 26.97 | 3.306 | 39 | 0 0 3 |
| 28.04 | 3.182 | 100 | 3 -1 1 |
| 32.18 | 2.781 | 42 | 1 2 2 |
| 40.89 | 2.207 | 11 | 4 -1 2 |
| 45.46 | 1.995 | 35 | 3 -1 4 |
| 46.83 | 1.940 | 27 | 4 1 0 |
| 53.65 | 1.708 | 16 | 1 2 5 |
| 54.87 | 1.673 | 23 | 5 -4 3 |
| 55.49 | 1.656 | 15 | 2 4 1 |
| 57.96 | 1.591 | 10 | 6 -2 2 |

Structural model:
abc: 10.2648 10.2648 9.9174
angles: 90.00 90.00 120.00
Space group R-3 (No. 148, hexagonal axes)
Inequivalent atoms, fractional coordinates:
Cd 0.0000 0.0000 0.0000 (multiplicity 3)
Ag 0.0368 0.7785 0.6579 (multiplicity 18)
F 0.0017 0.8168 0.8772 (multiplicity 18)
F 0.0091 0.7964 0.3827 (multiplicity 18)



# Cd4Ag3F12
Theoretical powder X-ray diffraction pattern, λ = 1.5418 Å (Cu Kα). Input: a structure optimized by DFT (PBE).
No peak broadening, texture or thermal motion is included.

Main lines, in order of rising 2θ (2θ = 10–90°):
| 2theta | d [Å] | I_rel | index |
| --- | --- | --- | --- |
| 14.60 | 6.069 | 17 | 1 1 0 |
| 20.70 | 4.291 | 6 | 2 0 0 |
| 25.42 | 3.504 | 8 | 2 1 1 |
| 29.43 | 3.035 | 100 | 2 2 0 |
| 33.00 | 2.714 | 5 | 3 1 0 |
| 42.11 | 2.146 | 27 | 4 0 0 |
| 52.21 | 1.752 | 51 | 4 2 2 |
| 61.07 | 1.517 | 14 | 4 4 0 |
| 69.23 | 1.357 | 18 | 6 0 2 |
| 84.47 | 1.147 | 21 | 6 4 2 |

Structural model:
abc: 8.5829 8.5829 8.5829
angles: 90.00 90.00 90.00
Space group Im-3 (No. 204)
Inequivalent atoms, fractional coordinates:
Cd 0.2500 0.2500 0.2500 (multiplicity 8)
Ag 0.0000 0.0000 0.5000 (multiplicity 6)
F 0.0000 0.3141 0.1924 (multiplicity 24)



# CdAg4F6
Theoretical powder X-ray diffraction pattern, λ = 1.5418 Å (Cu Kα). Input: a structure optimized by DFT (PBE).
No peak broadening, texture or thermal motion is included.

Main lines, in order of rising 2θ (2θ = 10–90°):
| 2theta | d [Å] | I_rel | index |
| --- | --- | --- | --- |
| 17.81 | 4.981 | 30 | 1 0 1 |
| 24.08 | 3.696 | 22 | 0 0 2 |
| 29.63 | 3.015 | 54 | 2 1 0 |
| 30.61 | 2.921 | 25 | 1 1 2 |
| 36.06 | 2.491 | 17 | 2 0 2 |
| 38.53 | 2.336 | 100 | 2 1 2 |
| 42.40 | 2.132 | 45 | 3 1 0 |
| 49.32 | 1.848 | 21 | 0 0 4 |
| 63.75 | 1.460 | 16 | 3 3 2 |
| 67.02 | 1.396 | 19 | 3 1 4 |

Structural model:
abc: 6.7419 6.7419 7.3923
angles: 90.00 90.00 90.00
Space group P4/mnc (No. 128)
Inequivalent atoms, fractional coordinates:
Cd 0.0000 0.0000 0.0000 (multiplicity 2)
Ag 0.1522 0.3478 0.2500 (multiplicity 8)
F 0.0000 0.0000 0.2971 (multiplicity 4)
F 0.1151 0.6818 0.0000 (multiplicity 8)



What did the third record say?
# ErPuCdAg
Theoretical powder X-ray diffraction pattern, λ = 1.5418 Å (Cu Kα). Input: a structure optimized by DFT (PBE).
No peak broadening, texture or thermal motion is included.

Main lines, in order of rising 2θ (2θ = 10–90°):
| 2theta | d [Å] | I_rel | index |
| --- | --- | --- | --- |
| 20.76 | 4.278 | 3 | 1 1 1 |
| 24.02 | 3.705 | 9 | 2 0 0 |
| 34.23 | 2.620 | 100 | 2 2 0 |
| 42.25 | 2.139 | 3 | 2 2 2 |
| 49.19 | 1.852 | 18 | 4 0 0 |
| 55.46 | 1.657 | 4 | 4 2 0 |
| 61.29 | 1.513 | 37 | 4 2 2 |
| 72.11 | 1.310 | 11 | 4 4 0 |
| 77.25 | 1.235 | 2 | 6 0 0 |
| 82.30 | 1.172 | 16 | 6 2 0 |

Structural model:
abc: 7.4097 7.4097 7.4097
angles: 90.00 90.00 90.00
Space group F-43m (No. 216)
Inequivalent atoms, fractional coordinates:
Er 0.0000 0.0000 0.0000 (multiplicity 4)
Pu 0.0000 0.0000 0.5000 (multiplicity 4)
Cd 0.2500 0.2500 0.7500 (multiplicity 4)
Ag 0.2500 0.2500 0.2500 (multiplicity 4)